In7SiN6: theoretical powder diffractogram (Cu Kα (λ = 1.5418 Å)), based on DFT lattice parameters and positions (GGA-PBE).

Peak list (10 most intense, 2θ from 10° to 90°, low angle first)
2θ/deg	Rel. int.
26.36	51.5
28.09	56.4
29.33	64.0
30.24	100.0
30.48	55.7
32.61	34.7
33.80	65.4
33.89	79.7
38.99	28.7
45.26	38.3

Cell and atoms:
```
In7SiN6
1.0
10.6043 0.0000 0.0000
0.0000 7.4417 0.0000
0.0000 0.0000 12.2057
In Si N
28 4 24
Direct
0.0000 0.1297 0.2500 In
0.0000 0.8703 0.7500 In
0.0243 0.2681 0.5199 In
0.0243 0.7319 0.0199 In
0.2184 0.0620 0.6691 In
0.2184 0.9380 0.1691 In
0.2220 0.1449 0.9124 In
0.2220 0.8551 0.4124 In
0.2780 0.3551 0.4124 In
0.2780 0.6449 0.9124 In
0.2816 0.4380 0.1691 In
0.2816 0.5620 0.6691 In
0.4757 0.2319 0.0199 In
0.4757 0.7681 0.5199 In
0.5000 0.3703 0.7500 In
0.5000 0.6297 0.2500 In
0.5243 0.2319 0.4801 In
0.5243 0.7681 0.9801 In
0.7184 0.4380 0.3309 In
0.7184 0.5620 0.8309 In
0.7220 0.3551 0.0876 In
0.7220 0.6449 0.5876 In
0.7780 0.1449 0.5876 In
0.7780 0.8551 0.0876 In
0.7816 0.0620 0.8309 In
0.7816 0.9380 0.3309 In
0.9757 0.2681 0.9801 In
0.9757 0.7319 0.4801 In
0.0000 0.4800 0.7500 Si
0.0000 0.5200 0.2500 Si
0.5000 0.0200 0.2500 Si
0.5000 0.9800 0.7500 Si
0.0757 0.3707 0.3468 N
0.0757 0.6293 0.8468 N
0.1185 0.3683 0.6760 N
0.1185 0.6317 0.1760 N
0.2015 0.1118 0.4968 N
0.2015 0.8882 0.9968 N
0.2985 0.3882 0.9968 N
0.2985 0.6118 0.4968 N
0.3815 0.1317 0.1760 N
0.3815 0.8683 0.6760 N
0.4243 0.1293 0.8468 N
0.4243 0.8707 0.3468 N
0.5757 0.1293 0.6532 N
0.5757 0.8707 0.1532 N
0.6185 0.1317 0.3240 N
0.6185 0.8683 0.8240 N
0.7015 0.3882 0.5032 N
0.7015 0.6118 0.0032 N
0.7985 0.1118 0.0032 N
0.7985 0.8882 0.5032 N
0.8815 0.3683 0.8240 N
0.8815 0.6317 0.3240 N
0.9243 0.3707 0.1532 N
0.9243 0.6293 0.6532 N
```

=====

NpSO: theoretical powder diffractogram (Cu Kα (λ = 1.5418 Å)), based on DFT lattice parameters and positions (GGA-PBE).

Peak list (10 most intense, 2θ from 10° to 90°, low angle first)
2θ/deg	Rel. int.
13.22	16.8
26.62	19.2
27.00	100.0
33.39	48.3
35.76	41.1
43.20	31.2
47.94	22.5
55.88	29.0
60.43	15.9
61.22	17.3

Cell and atoms:
```
NpSO
1.0
3.7954 0.0000 0.0000
0.0000 3.7954 0.0000
0.0000 0.0000 6.6971
Np S O
2 2 2
Direct
0.2500 0.2500 0.1965 Np
0.7500 0.7500 0.8035 Np
0.2500 0.2500 0.6315 S
0.7500 0.7500 0.3685 S
0.2500 0.7500 0.0000 O
0.7500 0.2500 0.0000 O
```

=====

Ce3Mg2Rh4: theoretical powder diffractogram (Cu Kα (λ = 1.5418 Å)), based on DFT lattice parameters and positions (GGA-PBE).

Peak list (10 most intense, 2θ from 10° to 90°, low angle first)
2θ/deg	Rel. int.
13.49	18.8
22.77	15.6
24.78	14.7
33.87	100.0
35.29	30.8
35.71	71.1
41.26	17.6
44.33	28.2
44.79	23.2
46.41	23.8

Cell and atoms:
```
Ce3Mg2Rh4
1.0
3.9133 0.0000 0.0000
0.0000 6.0709 3.9011
0.0000 -6.0709 3.9011
Ce Mg Rh
3 2 4
Direct
0.0000 0.0000 0.0000 Ce
0.0000 0.1913 0.5405 Ce
0.0000 0.5405 0.1913 Ce
0.5000 0.5762 0.8340 Mg
0.5000 0.8340 0.5762 Mg
0.0000 0.6063 0.6063 Rh
0.5000 0.2209 0.8848 Rh
0.5000 0.3371 0.3371 Rh
0.5000 0.8848 0.2209 Rh
```

=====

KHfSnSbO6: theoretical powder diffractogram (Cu Kα (λ = 1.5418 Å)), based on DFT lattice parameters and positions (GGA-PBE).

Peak list (10 most intense, 2θ from 10° to 90°, low angle first)
2θ/deg	Rel. int.
18.85	10.6
21.80	19.4
31.02	100.0
36.55	7.0
44.44	31.2
50.02	7.9
55.18	40.2
64.66	19.2
73.45	17.6
81.84	6.5

Cell and atoms:
```
KHfSnSbO6
1.0
0.0000 4.0771 4.0771
4.0771 0.0000 4.0771
4.0771 4.0771 0.0000
K Hf Sn Sb O
1 1 1 1 6
Direct
0.0000 0.0000 0.0000 K
0.2500 0.2500 0.2500 Hf
0.5000 0.5000 0.5000 Sn
0.7500 0.7500 0.7500 Sb
0.5046 0.5046 0.9954 O
0.5046 0.9954 0.5046 O
0.5046 0.9954 0.9954 O
0.9954 0.5046 0.5046 O
0.9954 0.5046 0.9954 O
0.9954 0.9954 0.5046 O
```

=====

CaTiBiO5: theoretical powder diffractogram (Cu Kα (λ = 1.5418 Å)), based on DFT lattice parameters and positions (GGA-PBE).

Peak list (10 most intense, 2θ from 10° to 90°, low angle first)
2θ/deg	Rel. int.
13.46	33.3
15.82	100.0
16.29	19.2
19.54	27.6
23.04	61.4
23.97	66.3
27.27	76.8
32.89	34.0
33.56	51.9
39.60	23.5

Cell and atoms:
```
CaTiBiO5
1.0
5.8847 0.0000 0.0000
0.0000 10.8853 0.0000
-2.6526 0.0000 8.2539
Ca Ti Bi O
4 4 4 20
Direct
0.0339 0.0970 0.1773 Ca
0.0339 0.4030 0.6773 Ca
0.9661 0.5970 0.3227 Ca
0.9661 0.9030 0.8227 Ca
0.3739 0.6197 0.0524 Ti
0.3739 0.8803 0.5524 Ti
0.6261 0.1197 0.4476 Ti
0.6261 0.3803 0.9476 Ti
0.4767 0.1011 0.8448 Bi
0.4767 0.3989 0.3448 Bi
0.5233 0.6011 0.6552 Bi
0.5233 0.8989 0.1552 Bi
0.2126 0.7344 0.5053 O
0.2126 0.7656 0.0053 O
0.2243 0.5367 0.1805 O
0.2243 0.9633 0.6805 O
0.2735 0.0360 0.0080 O
0.2735 0.4640 0.5080 O
0.3418 0.2058 0.3387 O
0.3418 0.2942 0.8387 O
0.3530 0.5428 0.8531 O
0.3530 0.9572 0.3531 O
0.6470 0.0428 0.6469 O
0.6470 0.4572 0.1469 O
0.6582 0.7058 0.1613 O
0.6582 0.7942 0.6613 O
0.7265 0.5360 0.4920 O
0.7265 0.9640 0.9920 O
0.7757 0.0367 0.3195 O
0.7757 0.4633 0.8195 O
0.7874 0.2344 0.9947 O
0.7874 0.2656 0.4947 O
```

=====

KMg6Mo: theoretical powder diffractogram (Cu Kα (λ = 1.5418 Å)), based on DFT lattice parameters and positions (GGA-PBE).

Peak list (10 most intense, 2θ from 10° to 90°, low angle first)
2θ/deg	Rel. int.
15.98	35.5
23.71	28.4
32.29	27.1
35.22	25.8
36.91	100.0
46.87	14.8
48.53	16.5
57.58	16.0
64.31	18.1
69.33	17.8

Cell and atoms:
```
KMg6Mo
1.0
6.4025 0.0000 0.0000
-3.2012 5.5447 0.0000
0.0000 0.0000 5.0963
K Mg Mo
1 6 1
Direct
0.0000 0.0000 0.0000 K
0.1752 0.3504 0.5000 Mg
0.1752 0.8248 0.5000 Mg
0.5161 0.0321 0.0000 Mg
0.5161 0.4839 0.0000 Mg
0.6496 0.8248 0.5000 Mg
0.9679 0.4839 0.0000 Mg
0.6667 0.3333 0.5000 Mo
```

=====

Be2Fe: theoretical powder diffractogram (Cu Kα (λ = 1.5418 Å)), based on DFT lattice parameters and positions (GGA-PBE).

Peak list (10 most intense, 2θ from 10° to 90°, low angle first)
2θ/deg	Rel. int.
24.60	78.7
26.20	46.2
27.93	49.7
36.24	34.0
43.31	93.5
47.30	100.0
51.32	72.2
52.32	21.3
66.06	20.5
82.33	34.0

Cell and atoms:
```
Be2Fe
1.0
4.1786 0.0000 0.0000
-2.0893 3.6188 0.0000
0.0000 0.0000 6.8032
Be Fe
8 4
Direct
0.0000 0.0000 0.0000 Be
0.0000 0.0000 0.5000 Be
0.1704 0.3408 0.2500 Be
0.1704 0.8296 0.2500 Be
0.3408 0.1704 0.7500 Be
0.6592 0.8296 0.2500 Be
0.8296 0.1704 0.7500 Be
0.8296 0.6592 0.7500 Be
0.3333 0.6667 0.5617 Fe
0.3333 0.6667 0.9383 Fe
0.6667 0.3333 0.0617 Fe
0.6667 0.3333 0.4383 Fe
```

=====

K2Be2PbF8: theoretical powder diffractogram (Cu Kα (λ = 1.5418 Å)), based on DFT lattice parameters and positions (GGA-PBE).

Peak list (10 most intense, 2θ from 10° to 90°, low angle first)
2θ/deg	Rel. int.
12.78	60.7
19.02	100.0
20.42	63.9
25.29	46.7
28.43	86.9
32.39	76.5
34.95	51.2
41.53	44.1
41.81	66.7
43.63	34.9

Cell and atoms:
```
K2Be2PbF8
1.0
2.7641 1.5958 6.9294
-2.7641 1.5958 6.9294
0.0000 -3.1917 6.9294
K Be Pb F
2 2 1 8
Direct
0.2032 0.2032 0.2032 K
0.7968 0.7968 0.7968 K
0.4018 0.4018 0.4018 Be
0.5982 0.5982 0.5982 Be
0.0000 0.0000 0.0000 Pb
0.2625 0.7283 0.7283 F
0.2717 0.2717 0.7375 F
0.2717 0.7375 0.2717 F
0.3274 0.3274 0.3274 F
0.6726 0.6726 0.6726 F
0.7283 0.2625 0.7283 F
0.7283 0.7283 0.2625 F
0.7375 0.2717 0.2717 F
```

=====

Please write out number 7 again, unchanged.
Be2Fe: theoretical powder diffractogram (Cu Kα (λ = 1.5418 Å)), based on DFT lattice parameters and positions (GGA-PBE).

Peak list (10 most intense, 2θ from 10° to 90°, low angle first)
2θ/deg	Rel. int.
24.60	78.7
26.20	46.2
27.93	49.7
36.24	34.0
43.31	93.5
47.30	100.0
51.32	72.2
52.32	21.3
66.06	20.5
82.33	34.0

Cell and atoms:
```
Be2Fe
1.0
4.1786 0.0000 0.0000
-2.0893 3.6188 0.0000
0.0000 0.0000 6.8032
Be Fe
8 4
Direct
0.0000 0.0000 0.0000 Be
0.0000 0.0000 0.5000 Be
0.1704 0.3408 0.2500 Be
0.1704 0.8296 0.2500 Be
0.3408 0.1704 0.7500 Be
0.6592 0.8296 0.2500 Be
0.8296 0.1704 0.7500 Be
0.8296 0.6592 0.7500 Be
0.3333 0.6667 0.5617 Fe
0.3333 0.6667 0.9383 Fe
0.6667 0.3333 0.0617 Fe
0.6667 0.3333 0.4383 Fe
```